K2GaP2H3O8F2: simulated X-ray powder pattern (Cu Kα, 1.54184 Å), based on a cell relaxed with GGA-PBE.
Kinematic intensities with the Lorentz-polarization factor, no thermal factor.

Peak list (6 most intense, 15° ≤ 2θ ≤ 90°, sorted by position)
16.14°, intensity 51, hkl 0 0 2; 26.03°, intensity 49, hkl 1 1 -2; 27.59°, intensity 50, hkl 1 1 2; 28.17°, intensity 100, hkl 1 2 0; 31.53°, intensity 38, hkl 1 1 -3; 33.50°, intensity 33, hkl 1 1 3

Cell and atoms:
```
data_K2GaP2H3O8F2
_chemical_formula_sum 'K4 Ga2 P4 H6 O16 F4'
_space_group_name_H-M_alt 'P 1 21 1'
_space_group_IT_number 4
_space_group_name_Hall 'P 2yb'
_cell_length_a 4.8210
_cell_length_b 8.4201
_cell_length_c 11.0060
_cell_angle_alpha 90.00
_cell_angle_beta 93.91
_cell_angle_gamma 90.00
loop_
_atom_site_label
_atom_site_type_symbol
_atom_site_fract_x
_atom_site_fract_y
_atom_site_fract_z
K1 K 0.0130 0.0000 0.0815
K2 K 0.0130 0.2915 0.5817
Ga1 Ga 0.9995 0.3960 0.2501
P1 P 0.4798 0.6345 0.1680
P2 P 0.4807 0.6574 0.6678
H1 H 0.4393 0.5542 0.4802
H2 H 0.4392 0.7373 0.9804
H3 H 0.4996 0.3965 0.7499
O1 O 0.2546 0.5077 0.1452
O2 O 0.2555 0.7841 0.6450
O3 O 0.2558 0.2086 0.2576
O4 O 0.2569 0.0830 0.7572
O5 O 0.3514 0.5079 0.7257
O6 O 0.3511 0.7841 0.2257
O7 O 0.4159 0.1060 0.4624
O8 O 0.4164 0.1853 0.9622
F1 F 0.1770 0.4859 0.3995
F2 F 0.1775 0.8058 0.8993
```